(1)
Ac2AlCuS6: theoretical powder diffractogram (copper Kα), based on a DFT-relaxed cell (GGA-PBE, Alexandria).
Kinematic intensities with the Lorentz-polarization factor, no thermal factor.

Cell and atoms:
```
Ac2AlCuS6
1.0
6.827 0.000 0.000
0.000 9.305 0.000
0.000 0.000 7.178
Ac Al Cu S
4 2 2 12
direct
0.250 0.018 0.171
0.250 0.482 0.171
0.750 0.518 0.829
0.750 0.982 0.829
0.250 0.250 0.719
0.750 0.750 0.281
0.250 0.750 0.689
0.750 0.250 0.311
0.000 0.250 0.936
0.000 0.750 0.064
0.076 0.250 0.425
0.250 0.515 0.751
0.250 0.985 0.751
0.424 0.250 0.425
0.500 0.250 0.936
0.500 0.750 0.064
0.576 0.750 0.575
0.750 0.015 0.249
0.750 0.485 0.249
0.924 0.750 0.575
```

Peak list (8 most intense, 10 to 90 degrees two-theta, in order of falling intensity)
2θ (°)  d/Å  Rel. int.  h k l
26.3  3.389  100  1 2 1
32.5  2.752  49  2 2 0
28.1  3.177  46  1 0 2
17.9  4.947  45  1 0 1
26.1  3.413  42  2 0 0
34.2  2.624  38  1 2 2
12.3  7.178  30  0 0 1
47.3  1.922  30  3 0 2

=====

(2)
Ac2AlCu6Si: theoretical powder diffractogram (copper Kα), based on a DFT-relaxed cell (GGA-PBE, Alexandria).
Kinematic intensities with the Lorentz-polarization factor, no thermal factor.

Cell and atoms:
```
Ac2AlCu6Si
1.0
6.247 0.000 0.000
3.110 5.450 0.000
3.100 1.785 5.635
Ac Al Cu Si
2 1 6 1
direct
0.211 0.209 0.365
0.789 0.791 0.635
0.500 0.500 0.500
0.246 0.648 0.859
0.247 0.247 0.855
0.351 0.748 0.143
0.649 0.252 0.857
0.753 0.753 0.145
0.754 0.352 0.141
0.000 0.000 0.000
```

Peak list (8 most intense, 10 to 90 degrees two-theta, in order of falling intensity)
2θ (°)  d/Å  Rel. int.  h k l
31.1  2.872  100  1 1 -1
19.4  4.568  81  0 1 1
39.4  2.284  60  0 2 2
28.4  3.141  60  1 -1 0
31.2  2.866  49  0 1 2
32.6  2.747  47  1 2 0
34.9  2.574  47  2 2 2
34.7  2.583  45  2 0 0

=====

(3)
Ac3Al2Cu4Si2: theoretical powder diffractogram (copper Kα), based on a DFT-relaxed cell (GGA-PBE, Alexandria).
Kinematic intensities with the Lorentz-polarization factor, no thermal factor.

Cell and atoms:
```
Ac3Al2Cu4Si2
1.0
4.245 0.000 0.000
-2.123 3.677 0.000
0.000 0.000 16.094
Ac Al Cu Si
3 2 4 2
direct
0.000 0.000 0.000
0.000 0.000 0.278
0.000 0.000 0.722
0.333 0.667 0.556
0.667 0.333 0.444
0.333 0.667 0.405
0.333 0.667 0.860
0.667 0.333 0.140
0.667 0.333 0.595
0.333 0.667 0.139
0.667 0.333 0.861
```

Peak list (8 most intense, 10 to 90 degrees two-theta, in order of falling intensity)
2θ (°)  d/Å  Rel. int.  h k l
33.0  2.714  100  1 0 4
29.5  3.033  78  0 1 3
42.6  2.123  57  1 1 0
24.2  3.677  48  1 0 0
59.2  1.560  35  1 1 7
26.7  3.344  26  0 1 2
54.9  1.672  24  0 2 4
71.9  1.313  21  2 1 4

=====

(4)
AcDy2Al6: theoretical powder diffractogram (copper Kα), based on a DFT-relaxed cell (GGA-PBE, Alexandria).
Kinematic intensities with the Lorentz-polarization factor, no thermal factor.

Cell and atoms:
```
AcDy2Al6
1.0
7.979 0.000 0.000
-3.989 6.910 0.000
0.000 0.000 3.755
Ac Dy Al
1 2 6
direct
0.000 0.000 0.000
0.333 0.667 0.000
0.667 0.333 0.000
0.000 0.339 0.500
0.000 0.661 0.500
0.339 0.000 0.500
0.339 0.339 0.500
0.661 0.000 0.500
0.661 0.661 0.500
```

Peak list (8 most intense, 10 to 90 degrees two-theta, in order of falling intensity)
2θ (°)  d/Å  Rel. int.  h k l
32.8  2.734  100  1 1 1
22.3  3.989  70  1 1 0
39.1  2.303  39  3 0 0
51.9  1.762  27  2 2 1
66.9  1.399  26  4 1 1
64.0  1.455  19  3 0 2
46.2  1.963  15  3 0 1
54.0  1.699  14  1 1 2

=====

(5)
AcDy2Al: theoretical powder diffractogram (copper Kα), based on a DFT-relaxed cell (GGA-PBE, Alexandria).
Kinematic intensities with the Lorentz-polarization factor, no thermal factor.

Cell and atoms:
```
AcDy2Al
1.0
4.929 0.000 0.000
0.000 4.929 0.000
0.000 0.000 4.969
Ac Dy Al
1 2 1
direct
0.000 0.000 0.000
0.000 0.500 0.500
0.500 0.000 0.500
0.500 0.500 0.000
```

Peak list (8 most intense, 10 to 90 degrees two-theta, in order of falling intensity)
2θ (°)  d/Å  Rel. int.  h k l
31.4  2.853  100  1 1 1
36.5  2.464  33  2 0 0
62.4  1.487  28  3 1 1
52.3  1.750  24  2 0 2
18.0  4.929  21  1 0 0
25.5  3.499  19  1 0 1
36.2  2.484  17  0 0 2
62.0  1.496  14  1 1 3

=====

(6)
Ac2DyAlO6: theoretical powder diffractogram (copper Kα), based on a DFT-relaxed cell (GGA-PBE, Alexandria).
Kinematic intensities with the Lorentz-polarization factor, no thermal factor.

Cell and atoms:
```
Ac2DyAlO6
1.0
5.623 0.000 0.000
0.000 5.623 0.000
0.000 0.000 4.743
Ac Dy Al O
2 1 1 6
direct
0.000 0.500 0.000
0.500 0.000 0.000
0.000 0.000 0.555
0.500 0.500 0.564
0.000 0.000 0.095
0.269 0.269 0.668
0.269 0.731 0.668
0.500 0.500 0.183
0.731 0.269 0.668
0.731 0.731 0.668
```

Peak list (8 most intense, 10 to 90 degrees two-theta, in order of falling intensity)
2θ (°)  d/Å  Rel. int.  h k l
29.3  3.047  100  1 1 1
31.8  2.812  40  2 0 0
55.2  1.665  35  3 1 1
50.3  1.813  24  2 0 2
45.6  1.988  22  2 2 0
37.2  2.419  15  2 0 1
18.7  4.743  15  0 0 1
60.8  1.523  13  2 2 2